Structure and theoretical powder diffractogram of BaMg14Cr (the GGA-PBE geometry in Alexandria; copper Kα).
Intensities are scaled so that the largest is 100.

Crystal structure
Cell lengths 6.5790, 6.5790, 10.5418 Å; angles 90.00, 90.00, 120.00 degrees
Space group P-6m2 (No. 187)
Symmetry-distinct sites (fractional):
Ba (0.0000, 0.0000, 0.0000)
Mg (0.0160, 0.5080, 0.0000)
Mg (0.1679, 0.3357, 0.2705)
Mg (0.5040, 0.0080, 0.5000)
Mg (0.6667, 0.3333, 0.2384)
Cr (0.0000, 0.0000, 0.5000)

Main lines, sorted by position (5 to 70 degrees two-theta):
5.698 Å, 15.6 deg, rel. 31, (1 0 0); 3.869 Å, 23.0 deg, rel. 26, (1 0 2); 2.849 Å, 31.4 deg, rel. 28, (2 0 0); 2.635 Å, 34.0 deg, rel. 24, (0 0 4); 2.506 Å, 35.8 deg, rel. 100, (2 0 2); 1.935 Å, 47.0 deg, rel. 17, (2 0 4); 1.645 Å, 55.9 deg, rel. 17, (2 2 0); 1.495 Å, 62.1 deg, rel. 16, (2 0 6); 1.395 Å, 67.1 deg, rel. 18, (2 2 4); 1.375 Å, 68.2 deg, rel. 14, (4 0 2)